[1]
This entry pairs a crystal structure of Cs3ErO3 with its theoretical powder X-ray diffraction pattern. Radiation: Cu Kα (λ = 1.5418 Å). Structure: a PBE-relaxed structure.

Crystal structure
abc: 8.320 7.631 12.273
angles: 90.00 95.51 90.00
Fractional positions:
Cs  0.063  0.121  0.155
Cs  0.063  0.379  0.655
Cs  0.353  0.168  0.921
Cs  0.353  0.332  0.421
Cs  0.377  0.691  0.808
Cs  0.377  0.809  0.308
Cs  0.623  0.191  0.692
Cs  0.623  0.309  0.192
Cs  0.647  0.668  0.579
Cs  0.647  0.832  0.079
Cs  0.937  0.621  0.345
Cs  0.937  0.879  0.845
Er  0.158  0.586  0.066
Er  0.158  0.914  0.566
Er  0.842  0.086  0.434
Er  0.842  0.414  0.934
O  0.100  0.052  0.411
O  0.100  0.448  0.911
O  0.245  0.656  0.543
O  0.245  0.844  0.043
O  0.303  0.057  0.685
O  0.303  0.443  0.185
O  0.697  0.557  0.815
O  0.697  0.943  0.315
O  0.755  0.156  0.957
O  0.755  0.344  0.457
O  0.900  0.552  0.089
O  0.900  0.948  0.589

Peak list (10 most intense, 2θ from 10° to 90°, low angle first)
2θ = 24.79°, I 25
2θ = 25.71°, I 16
2θ = 26.19°, I 49
2θ = 27.03°, I 100
2θ = 27.15°, I 55
2θ = 27.45°, I 55
2θ = 31.55°, I 54
2θ = 33.26°, I 17
2θ = 34.67°, I 23
2θ = 47.89°, I 19

[2]
This entry pairs a crystal structure of HoCuPb with its theoretical powder X-ray diffraction pattern. Radiation: Cu Kα (λ = 1.5418 Å). Structure: a PBE-relaxed structure.

Crystal structure
abc: 4.607 4.607 7.346
angles: 90.00 90.00 120.00
Fractional positions:
Ho  0.000  0.000  0.000
Ho  0.000  0.000  0.500
Cu  0.333  0.667  0.170
Cu  0.667  0.333  0.670
Pb  0.333  0.667  0.769
Pb  0.667  0.333  0.269

Peak list (10 most intense, 2θ from 10° to 90°, low angle first)
2θ = 25.40°, I 43
2θ = 33.15°, I 100
2θ = 39.10°, I 77
2θ = 43.36°, I 25
2θ = 52.18°, I 28
2θ = 59.79°, I 10
2θ = 64.94°, I 19
2θ = 67.09°, I 26
2θ = 70.85°, I 14
2θ = 73.79°, I 11

[3]
This entry pairs a crystal structure of K4As2Se5 with its theoretical powder X-ray diffraction pattern. Radiation: Cu Kα (λ = 1.5418 Å). Structure: a PBE-relaxed structure.

Crystal structure
abc: 7.789 23.288 9.816
angles: 90.00 122.03 90.00
Fractional positions:
K  0.234  0.156  0.490
K  0.234  0.344  0.990
K  0.249  0.541  0.995
K  0.249  0.547  0.496
K  0.249  0.953  0.996
K  0.249  0.959  0.495
K  0.252  0.745  0.497
K  0.252  0.755  0.997
K  0.748  0.245  0.003
K  0.748  0.255  0.503
K  0.751  0.041  0.505
K  0.751  0.047  0.004
K  0.751  0.453  0.504
K  0.751  0.459  0.005
K  0.766  0.656  0.010
K  0.766  0.844  0.510
As  0.156  0.142  0.862
As  0.156  0.358  0.362
As  0.355  0.148  0.173
As  0.355  0.352  0.673
As  0.645  0.648  0.327
As  0.645  0.852  0.827
As  0.844  0.642  0.638
As  0.844  0.858  0.138
Se  0.194  0.643  0.730
Se  0.194  0.857  0.230
Se  0.238  0.229  0.780
Se  0.238  0.271  0.280
Se  0.242  0.062  0.760
Se  0.242  0.438  0.260
Se  0.264  0.059  0.240
Se  0.264  0.441  0.740
Se  0.305  0.642  0.262
Se  0.305  0.858  0.762
Se  0.695  0.142  0.238
Se  0.695  0.358  0.738
Se  0.736  0.559  0.260
Se  0.736  0.941  0.760
Se  0.758  0.562  0.740
Se  0.758  0.938  0.240
Se  0.762  0.729  0.720
Se  0.762  0.771  0.220
Se  0.806  0.143  0.770
Se  0.806  0.357  0.270

Peak list (10 most intense, 2θ from 10° to 90°, low angle first)
2θ = 13.94°, I 12
2θ = 14.13°, I 34
2θ = 15.22°, I 14
2θ = 21.36°, I 21
2θ = 26.47°, I 100
2θ = 27.01°, I 50
2θ = 36.55°, I 19
2θ = 38.67°, I 21
2θ = 39.75°, I 39
2θ = 47.80°, I 15

[4]
This entry pairs a crystal structure of KTiF4 with its theoretical powder X-ray diffraction pattern. Radiation: Cu Kα (λ = 1.5418 Å). Structure: a PBE-relaxed structure.

Crystal structure
abc: 7.831 7.831 4.012
angles: 104.26 104.26 67.51
Fractional positions:
K  0.192  0.192  0.186
K  0.808  0.808  0.814
Ti  0.311  0.689  0.500
Ti  0.689  0.311  0.500
F  0.056  0.700  0.382
F  0.300  0.944  0.618
F  0.305  0.695  0.000
F  0.399  0.399  0.402
F  0.601  0.601  0.598
F  0.695  0.305  0.000
F  0.700  0.056  0.382
F  0.944  0.300  0.618

Peak list (10 most intense, 2θ from 10° to 90°, low angle first)
2θ = 14.24°, I 70
2θ = 23.21°, I 35
2θ = 23.38°, I 36
2θ = 23.77°, I 87
2θ = 24.43°, I 55
2θ = 24.98°, I 100
2θ = 37.85°, I 19
2θ = 38.29°, I 29
2θ = 45.20°, I 42
2θ = 48.19°, I 54

Repeat the fourth record exactly.
This entry pairs a crystal structure of KTiF4 with its theoretical powder X-ray diffraction pattern. Radiation: Cu Kα (λ = 1.5418 Å). Structure: a PBE-relaxed structure.

Crystal structure
abc: 7.831 7.831 4.012
angles: 104.26 104.26 67.51
Fractional positions:
K  0.192  0.192  0.186
K  0.808  0.808  0.814
Ti  0.311  0.689  0.500
Ti  0.689  0.311  0.500
F  0.056  0.700  0.382
F  0.300  0.944  0.618
F  0.305  0.695  0.000
F  0.399  0.399  0.402
F  0.601  0.601  0.598
F  0.695  0.305  0.000
F  0.700  0.056  0.382
F  0.944  0.300  0.618

Peak list (10 most intense, 2θ from 10° to 90°, low angle first)
2θ = 14.24°, I 70
2θ = 23.21°, I 35
2θ = 23.38°, I 36
2θ = 23.77°, I 87
2θ = 24.43°, I 55
2θ = 24.98°, I 100
2θ = 37.85°, I 19
2θ = 38.29°, I 29
2θ = 45.20°, I 42
2θ = 48.19°, I 54

Question: Which formula does entry 1 have?
Answer: Cs3ErO3